For La5CdIr, a crystal structure in Alexandria, relaxed with GGA-PBE gives the calculated X-ray diffraction stick pattern in this record (λ = 1.5418 Å (Cu Kα)).

Main lines, by angle (2θ = 15–90°):
d [Å], intensity
3.078, 35
3.066, 40
3.019, 100
2.900, 79
2.500, 34
2.329, 26

Crystal structure
Cell: 6.3547 6.3547 12.1914 Å, 103.59 103.59 75.37°
Atoms (fractional coordinates):
La1 0.0087 0.9913 0.7500
La2 0.0622 0.4217 0.1321
La3 0.2058 0.5527 0.4442
La4 0.4217 0.0622 0.6321
La5 0.4473 0.7942 0.0558
La6 0.5527 0.2058 0.9442
La7 0.5783 0.9378 0.3679
La8 0.7942 0.4473 0.5558
La9 0.9378 0.5783 0.8679
La10 0.9913 0.0087 0.2500
Cd1 0.4229 0.5771 0.7500
Cd2 0.5771 0.4229 0.2500
Ir1 0.0000 0.0000 0.0000
Ir2 0.0000 0.0000 0.5000


For La5Cd4Ir2, a crystal structure in Alexandria, relaxed with GGA-PBE gives the calculated X-ray diffraction stick pattern in this record (λ = 1.5418 Å (Cu Kα)).

Main lines, by angle (2θ = 15–90°):
d [Å], intensity
2.807, 63
2.714, 100
2.669, 30
2.561, 54
2.551, 35
1.932, 36

Crystal structure
Cell: 8.3529 18.7509 3.8628 Å, 90.00 90.00 90.00°
Atoms (fractional coordinates):
La1 0.0000 0.0000 0.0000
La2 0.1111 0.4091 0.0000
La3 0.2457 0.2211 0.0000
La4 0.2543 0.7211 0.0000
La5 0.3889 0.9091 0.0000
La6 0.5000 0.5000 0.0000
La7 0.6111 0.0909 0.0000
La8 0.7457 0.2789 0.0000
La9 0.7543 0.7789 0.0000
La10 0.8889 0.5909 0.0000
Cd1 0.0628 0.8522 0.5000
Cd2 0.2117 0.5669 0.5000
Cd3 0.2883 0.0669 0.5000
Cd4 0.4372 0.3522 0.5000
Cd5 0.5628 0.6478 0.5000
Cd6 0.7117 0.9331 0.5000
Cd7 0.7883 0.4331 0.5000
Cd8 0.9372 0.1478 0.5000
Ir1 0.0143 0.3026 0.5000
Ir2 0.4857 0.8026 0.5000
Ir3 0.5143 0.1974 0.5000
Ir4 0.9857 0.6974 0.5000


For La7Cd2Ir2, a crystal structure in Alexandria, relaxed with GGA-PBE gives the calculated X-ray diffraction stick pattern in this record (λ = 1.5418 Å (Cu Kα)).

Main lines, by angle (2θ = 15–90°):
d [Å], intensity
3.147, 33
2.745, 100
2.724, 21
2.673, 30
2.645, 33
1.997, 27

Crystal structure
Cell: 9.8029 9.8029 9.8029 Å, 156.49 71.90 113.18°
Atoms (fractional coordinates):
La1 0.0000 0.0000 0.0000
La2 0.0524 0.6989 0.3536
La3 0.3237 0.4949 0.8288
La4 0.3453 0.6989 0.6464
La5 0.6464 0.3000 0.3465
La6 0.6661 0.4949 0.1712
La7 0.9535 0.3000 0.6535
Cd1 0.4486 0.9486 0.5000
Cd2 0.6824 0.6824 0.0000
Ir1 0.1969 0.0054 0.1915
Ir2 0.8139 0.0054 0.8085